1.
Structure and theoretical powder XRD pattern of Ba3GaAu (a structure optimized by DFT (GGA-PBE); Cu Kα (λ = 1.5418 Å)).
Kinematic intensities with the Lorentz-polarization factor, no thermal factor.

a = 7.5527 Å, b = 10.5345 Å, c = 18.7615 Å
α = 90.00°, β = 90.00°, γ = 90.00°
Space group Fmmm (No. 69)
Unique sites:
1 Ba 0.0000 0.0000 0.1979 [8 per cell]
2 Ba 0.0000 0.1906 0.4041 [16 per cell]
3 Ga 0.1734 0.0000 0.0000 [8 per cell]
4 Au 0.2500 0.2500 0.2500 [8 per cell]

Principal peaks in the range 10 to 80 degrees two-theta, low angle first:
h k l  two_theta  I_rel
0 2 0  16.8  20.6
1 1 5  27.9  51.0
1 3 1  28.4  52.6
2 0 4  30.4  48.4
2 2 2  30.6  100.0
0 2 6  33.3  57.4
2 2 4  34.9  46.1
1 5 5  51.2  23.6



2.
Structure and theoretical powder XRD pattern of SmTl6Cd23 (a structure optimized by DFT (GGA-PBE); Cu Kα (λ = 1.5418 Å)).
Kinematic intensities with the Lorentz-polarization factor, no thermal factor.

a = 14.4238 Å, b = 14.4238 Å, c = 14.4238 Å
α = 90.00°, β = 90.00°, γ = 90.00°
Space group Fm-3m (No. 225)
Unique sites:
1 Sm 0.0000 0.0000 0.0000 [4 per cell]
2 Tl 0.0000 0.0000 0.2252 [24 per cell]
3 Cd 0.0000 0.0000 0.5000 [4 per cell]
4 Cd 0.0000 0.2500 0.2500 [24 per cell]
5 Cd 0.1241 0.1241 0.3759 [32 per cell]
6 Cd 0.1571 0.1571 0.1571 [32 per cell]

Principal peaks in the range 10 to 80 degrees two-theta, low angle first:
h k l  two_theta  I_rel
4 2 0  27.7  12.6
3 3 3  32.2  24.3
4 4 0  35.2  100.0
6 0 0  37.4  7.9
8 0 0  50.6  11.8
9 3 1  61.3  7.9
8 4 4  63.2  21.6
7 7 3  67.1  9.4



3.
Structure and theoretical powder XRD pattern of MnGa2I6Cl2 (a structure optimized by DFT (GGA-PBE); Cu Kα (λ = 1.5418 Å)).
Kinematic intensities with the Lorentz-polarization factor, no thermal factor.

a = 7.3004 Å, b = 7.3004 Å, c = 9.9358 Å
α = 90.00°, β = 90.00°, γ = 120.00°
Space group P-3 (No. 147)
Unique sites:
1 Mn 0.0000 0.0000 0.0000 [1 per cell]
2 Ga 0.3333 0.6667 0.7444 [2 per cell]
3 I 0.0037 0.3234 0.1740 [6 per cell]
4 Cl 0.3333 0.6667 0.5270 [2 per cell]

Principal peaks in the range 10 to 80 degrees two-theta, low angle first:
h k l  two_theta  I_rel
1 0 1  16.6  24.0
0 0 2  17.9  22.7
1 1 1  26.0  100.0
0 0 3  26.9  22.5
2 -1 2  30.4  59.6
3 0 0  42.9  35.5
1 1 4  44.1  33.1
3 0 3  51.4  21.1



4.
Structure and theoretical powder XRD pattern of AcTbGa6 (a structure optimized by DFT (GGA-PBE); Cu Kα (λ = 1.5418 Å)).
Kinematic intensities with the Lorentz-polarization factor, no thermal factor.

a = 4.4022 Å, b = 6.5500 Å, c = 6.0532 Å
α = 90.00°, β = 90.00°, γ = 90.00°
Space group Pmm2 (No. 25)
Unique sites:
1 Ac 0.0000 0.0000 0.0000 [1 per cell]
2 Tb 0.5000 0.5000 0.2367 [1 per cell]
3 Ga 0.0000 0.2602 0.4792 [2 per cell]
4 Ga 0.0000 0.5000 0.8854 [1 per cell]
5 Ga 0.5000 0.0000 0.4166 [1 per cell]
6 Ga 0.5000 0.2865 0.7559 [2 per cell]

Principal peaks in the range 10 to 80 degrees two-theta, low angle first:
h k l  two_theta  I_rel
1 1 0  24.4  25.2
1 1 1  28.5  43.2
0 2 1  31.0  42.8
0 1 2  32.6  34.4
1 0 2  36.0  59.3
1 2 1  37.3  100.0
2 0 0  41.0  33.8
0 2 3  53.3  26.3